# 1
Simulated XRD peak list
Compound: Tb4YCu5
Radiation: Cu Kα (weighted mean of Kα1 and Kα2)
Structure: a structure optimized by DFT (GGA-PBE)

Crystal structure
Cell: 3.467 3.467 17.567 Å, 90.00 90.00 90.00°
Positions (direct):
Tb 0.000 0.000 0.100
Tb 0.000 0.000 0.300
Tb 0.000 0.000 0.700
Tb 0.000 0.000 0.900
Y 0.000 0.000 0.500
Cu 0.500 0.500 0.000
Cu 0.500 0.500 0.200
Cu 0.500 0.500 0.400
Cu 0.500 0.500 0.600
Cu 0.500 0.500 0.800

Main lines, by angle (2θ from 10° to 90°):
hkl, 2θ (°), d [Å], I_rel
0 0 5, 25.35, 3.513, 8
1 0 0, 25.69, 3.467, 15
1 0 5, 36.40, 2.468, 100
1 1 0, 36.65, 2.452, 49
0 0 10, 52.06, 1.757, 9
2 0 0, 52.80, 1.734, 17
1 1 10, 65.35, 1.428, 17
2 1 5, 65.83, 1.419, 34
2 0 10, 77.33, 1.234, 11
1 0 15, 88.02, 1.110, 8
3 0 5, 89.20, 1.098, 8
3 1 0, 89.35, 1.097, 8

=====

# 2
Simulated XRD peak list
Compound: TbYCu4
Radiation: Cu Kα (weighted mean of Kα1 and Kα2)
Structure: a structure optimized by DFT (GGA-PBE)

Crystal structure
Cell: 4.298 6.874 7.342 Å, 90.00 90.00 90.00°
Positions (direct):
Tb 0.000 0.000 0.000
Tb 0.500 0.500 0.500
Y 0.000 0.500 0.087
Y 0.500 0.000 0.587
Cu 0.000 0.198 0.379
Cu 0.000 0.302 0.708
Cu 0.000 0.698 0.708
Cu 0.000 0.802 0.379
Cu 0.500 0.198 0.208
Cu 0.500 0.302 0.879
Cu 0.500 0.698 0.879
Cu 0.500 0.802 0.208

Main lines, by angle (2θ from 10° to 90°):
hkl, 2θ (°), d [Å], I_rel
1 0 1, 23.99, 3.709, 11
1 1 2, 34.69, 2.586, 40
1 2 1, 35.61, 2.521, 100
0 2 2, 35.79, 2.509, 41
0 3 1, 41.28, 2.187, 20
2 0 0, 42.05, 2.149, 35
1 0 3, 42.51, 2.127, 49
2 2 2, 56.37, 1.632, 21
2 3 1, 60.39, 1.533, 12
1 3 4, 69.12, 1.359, 19
3 2 1, 72.65, 1.301, 12
1 5 2, 77.38, 1.233, 11